[1]
Diffraction record for Li3Mn2P3O12. The PXRD pattern is theoretical, not measured: it uses a DFT-relaxed cell (GGA+U, the Materials Project) and Cu Kα X-rays.
No peak broadening, texture or thermal motion is included.

Top 12 peaks for 15 to 90 degrees two-theta, low angle first:
| d/Å | 2θ (°) | I (rel.) |
| --- | --- | --- |
| 4.434 | 20.02 | 26.3 |
| 4.350 | 20.41 | 27.4 |
| 4.279 | 20.76 | 51.8 |
| 3.763 | 23.64 | 54.3 |
| 3.707 | 24.00 | 100.0 |
| 3.087 | 28.93 | 31.0 |
| 3.072 | 29.07 | 16.1 |
| 2.753 | 32.52 | 19.2 |
| 2.716 | 32.98 | 38.4 |
| 2.539 | 35.35 | 23.2 |
| 1.854 | 49.15 | 16.2 |
| 1.682 | 54.57 | 16.6 |

Structural model:
```
data_Li3Mn2P3O12
_symmetry_space_group_name_H-M 'P 1'
_symmetry_Int_Tables_number 1
_cell_length_a 8.562
_cell_length_b 8.562
_cell_length_c 8.712
_cell_angle_alpha 118.21
_cell_angle_beta 118.21
_cell_angle_gamma 61.53
loop_
_symmetry_equiv_pos_as_xyz
'x,y,z'
loop_
_atom_site_label
_atom_site_fract_x
_atom_site_fract_y
_atom_site_fract_z
Li1 0.000 0.000 0.000
Li2 0.106 0.497 0.103
Li3 0.359 0.143 0.277
Li4 0.503 0.894 0.897
Li5 0.678 0.322 0.500
Li6 0.857 0.641 0.723
Mn1 0.202 0.011 0.393
Mn2 0.496 0.298 0.102
Mn3 0.702 0.504 0.898
Mn4 0.989 0.798 0.607
P1 0.097 0.198 0.795
P2 0.300 0.700 0.000
P3 0.379 0.621 0.500
P4 0.599 0.104 0.695
P5 0.802 0.903 0.205
P6 0.896 0.401 0.305
O1 0.053 0.042 0.791
O2 0.080 0.224 0.305
O3 0.107 0.721 0.847
O4 0.131 0.160 0.623
O5 0.218 0.656 0.558
O6 0.265 0.223 0.980
O7 0.279 0.893 0.153
O8 0.334 0.539 0.060
O9 0.344 0.782 0.442
O10 0.397 0.428 0.344
O11 0.446 0.085 0.508
O12 0.461 0.666 0.940
O13 0.548 0.126 0.853
O14 0.572 0.603 0.656
O15 0.606 0.065 0.179
O16 0.652 0.272 0.729
O17 0.728 0.348 0.271
O18 0.776 0.920 0.695
O19 0.777 0.735 0.020
O20 0.840 0.869 0.377
O21 0.874 0.452 0.147
O22 0.915 0.554 0.492
O23 0.935 0.394 0.821
O24 0.958 0.947 0.209
```


[2]
Diffraction record for Cs2NaCrF6. The PXRD pattern is theoretical, not measured: it uses a DFT-relaxed cell (GGA+U, the Materials Project) and Cu Kα X-rays.
No peak broadening, texture or thermal motion is included.

Top 12 peaks for 15 to 90 degrees two-theta, low angle first:
| d/Å | 2θ (°) | I (rel.) |
| --- | --- | --- |
| 4.116 | 21.59 | 42.6 |
| 3.449 | 25.83 | 65.4 |
| 3.180 | 28.06 | 100.0 |
| 3.168 | 28.17 | 31.3 |
| 2.581 | 34.75 | 14.5 |
| 2.516 | 35.68 | 37.3 |
| 2.338 | 38.51 | 54.9 |
| 2.244 | 40.19 | 15.0 |
| 1.884 | 48.32 | 17.6 |
| 1.835 | 49.69 | 33.1 |
| 1.726 | 53.07 | 14.4 |
| 1.590 | 58.01 | 23.1 |

Structural model:
```
data_Cs2NaCrF6
_symmetry_space_group_name_H-M 'P 1'
_symmetry_Int_Tables_number 1
_cell_length_a 10.959
_cell_length_b 10.959
_cell_length_c 10.959
_cell_angle_alpha 33.73
_cell_angle_beta 33.73
_cell_angle_gamma 33.73
loop_
_symmetry_equiv_pos_as_xyz
'x,y,z'
loop_
_atom_site_label
_atom_site_fract_x
_atom_site_fract_y
_atom_site_fract_z
Cs1 0.128 0.128 0.128
Cs2 0.282 0.282 0.282
Cs3 0.718 0.718 0.718
Cs4 0.872 0.872 0.872
Na1 0.403 0.403 0.403
Na2 0.597 0.597 0.597
Cr1 0.000 0.000 0.000
Cr2 0.500 0.500 0.500
F1 0.178 0.604 0.604
F2 0.183 0.183 0.742
F3 0.183 0.742 0.183
F4 0.258 0.817 0.817
F5 0.396 0.396 0.822
F6 0.396 0.822 0.396
F7 0.604 0.178 0.604
F8 0.604 0.604 0.178
F9 0.742 0.183 0.183
F10 0.817 0.258 0.817
F11 0.817 0.817 0.258
F12 0.822 0.396 0.396
```